Structure and simulated powder diffractogram of Li4V3OF11 (a crystal structure in Alexandria, relaxed with PBE+U; CuKα).

The 8 most intense peaks (2θ from 10° to 90°), by angle:
hkl	two_theta	I (rel.)
0 0 1	14.4	85
1 0 -1	19.2	100
1 1 0	23.8	65
1 -1 1	25.0	56
1 0 -2	30.1	51
0 2 -1	30.8	50
1 1 1	31.3	37
1 3 0	52.0	36

Crystal structure
```
data_Li4V3OF11
_chemical_formula_sum 'Li4 V3 O1 F11'
_symmetry_space_group_name_H-M 'P 1'
_symmetry_Int_Tables_number 1
_cell_length_a 5.706
_cell_length_b 6.062
_cell_length_c 6.401
_cell_angle_alpha 100.47
_cell_angle_beta 100.72
_cell_angle_gamma 97.19
loop_
_symmetry_equiv_pos_as_xyz
'x,y,z'
loop_
_atom_site_label
_atom_site_type_symbol
_atom_site_fract_x
_atom_site_fract_y
_atom_site_fract_z
Li1 Li 0.000 0.000 0.000
Li2 Li 0.180 0.260 0.595
Li3 Li 0.478 0.978 0.773
Li4 Li 0.716 0.459 0.828
V1 V 0.324 0.599 0.134
V2 V 0.620 0.223 0.288
V3 V 0.899 0.744 0.489
O1 O 0.641 0.552 0.272
F1 F 0.003 0.660 0.009
F2 F 0.132 0.989 0.732
F3 F 0.217 0.701 0.413
F4 F 0.256 0.272 0.179
F5 F 0.375 0.486 0.845
F6 F 0.442 0.919 0.105
F7 F 0.493 0.177 0.548
F8 F 0.700 0.788 0.702
F9 F 0.738 0.203 0.997
F10 F 0.885 0.024 0.350
F11 F 0.903 0.424 0.564
```